The following is a computed powder diffractogram of Cu2NiSbS4. It was derived from DFT lattice parameters and positions (GGA-PBE), using λ = 1.5418 Å (Cu Kα).
Kinematic intensities with the Lorentz-polarization factor, no thermal factor.

Structure:
Unit cell a=6.5485 b=6.5456 c=5.4215 alpha=65.57 beta=65.51 gamma=48.92
Sites, in units of the cell vectors:
Cu (0.0000, 0.0000, 0.5000)
Cu (0.5000, 0.5000, 0.0000)
Ni (0.2500, 0.2500, 0.7500)
Sb (0.7503, 0.7503, 0.2497)
S (0.1592, 0.6030, 0.3970)
S (0.3412, 0.8964, 0.6588)
S (0.6030, 0.1592, 0.8408)
S (0.8964, 0.3412, 0.1036)

Principal peaks in the range 10 to 90 degrees two-theta, most intense first:
2theta, I_rel
28.73, 100
47.98, 37
56.40, 27
47.43, 19
57.36, 13
33.05, 11
88.72, 11
77.54, 10
89.93, 6
69.33, 5

The following is a computed powder diffractogram of Pm5Pu3Te8. It was derived from DFT lattice parameters and positions (GGA-PBE), using λ = 1.5418 Å (Cu Kα).
Kinematic intensities with the Lorentz-polarization factor, no thermal factor.

Structure:
Unit cell a=8.9317 b=8.9317 c=8.9317 alpha=59.59 beta=59.59 gamma=59.59
Sites, in units of the cell vectors:
Pm (0.0000, 0.0000, 0.0000)
Pm (0.0000, 0.5000, 0.5000)
Pm (0.5000, 0.0000, 0.5000)
Pm (0.5000, 0.5000, 0.0000)
Pm (0.5000, 0.5000, 0.5000)
Pu (0.0000, 0.0000, 0.5000)
Pu (0.0000, 0.5000, 0.0000)
Pu (0.5000, 0.0000, 0.0000)
Te (0.2475, 0.7500, 0.7500)
Te (0.2487, 0.2487, 0.2487)
Te (0.2500, 0.2500, 0.7525)
Te (0.2500, 0.7525, 0.2500)
Te (0.7500, 0.2475, 0.7500)
Te (0.7500, 0.7500, 0.2475)
Te (0.7513, 0.7513, 0.7513)
Te (0.7525, 0.2500, 0.2500)

Principal peaks in the range 10 to 90 degrees two-theta, most intense first:
2theta, I_rel
28.35, 100
40.40, 39
40.66, 38
50.31, 21
66.22, 18
66.60, 18
73.81, 13
58.66, 13
49.86, 7
73.28, 7

The following is a computed powder diffractogram of DyYPbS. It was derived from DFT lattice parameters and positions (GGA-PBE), using λ = 1.5418 Å (Cu Kα).
Kinematic intensities with the Lorentz-polarization factor, no thermal factor.

Structure:
Unit cell a=3.8036 b=3.8045 c=8.4078 alpha=77.02 beta=77.01 gamma=60.27
Sites, in units of the cell vectors:
Dy (0.0000, 0.0000, 0.0000)
Y (0.2026, 0.2010, 0.3923)
Pb (0.4365, 0.4309, 0.6986)
S (0.6021, 0.6013, 0.1934)

Principal peaks in the range 10 to 90 degrees two-theta, most intense first:
2theta, I_rel
32.79, 100
28.02, 47
30.79, 41
47.82, 30
33.10, 26
37.53, 25
10.90, 25
30.91, 20
59.35, 16
47.62, 15

The following is a computed powder diffractogram of AcScNi. It was derived from DFT lattice parameters and positions (GGA-PBE), using λ = 1.5418 Å (Cu Kα).
Kinematic intensities with the Lorentz-polarization factor, no thermal factor.

Structure:
Unit cell a=6.5927 b=6.5927 c=6.5927 alpha=149.31 beta=149.31 gamma=43.96
Sites, in units of the cell vectors:
Ac (0.0000, 0.0000, 0.0000)
Sc (0.2668, 0.2668, 0.0000)
Ni (0.6736, 0.6736, 0.0000)

Principal peaks in the range 10 to 90 degrees two-theta, most intense first:
2theta, I_rel
33.81, 100
26.56, 70
36.41, 49
14.49, 41
63.87, 32
47.35, 26
29.22, 24
52.44, 17
39.38, 16
59.73, 16

The following is a computed powder diffractogram of MgCd7. It was derived from DFT lattice parameters and positions (GGA-PBE), using λ = 1.5418 Å (Cu Kα).
Kinematic intensities with the Lorentz-polarization factor, no thermal factor.

Structure:
Unit cell a=6.3345 b=6.3345 c=6.3345 alpha=60.00 beta=60.00 gamma=60.00
Sites, in units of the cell vectors:
Mg (0.0000, 0.0000, 0.0000)
Cd (0.0000, 0.0000, 0.5000)
Cd (0.0000, 0.5000, 0.0000)
Cd (0.0000, 0.5000, 0.5000)
Cd (0.5000, 0.0000, 0.0000)
Cd (0.5000, 0.0000, 0.5000)
Cd (0.5000, 0.5000, 0.0000)
Cd (0.5000, 0.5000, 0.5000)

Principal peaks in the range 10 to 90 degrees two-theta, most intense first:
2theta, I_rel
34.69, 100
40.27, 49
69.62, 36
58.26, 32
73.20, 10
17.14, 6
87.02, 5
33.17, 4
19.82, 3
28.18, 3

The following is a computed powder diffractogram of CaRh7O12. It was derived from DFT lattice parameters and positions (GGA-PBE), using λ = 1.5418 Å (Cu Kα).
Kinematic intensities with the Lorentz-polarization factor, no thermal factor.

Structure:
Unit cell a=6.6211 b=6.6211 c=6.6211 alpha=109.47 beta=109.47 gamma=109.47
Sites, in units of the cell vectors:
Ca (0.0000, 0.0000, 0.0000)
Rh (0.0000, 0.0000, 0.5000)
Rh (0.0000, 0.5000, 0.0000)
Rh (0.0000, 0.5000, 0.5000)
Rh (0.5000, 0.0000, 0.0000)
Rh (0.5000, 0.0000, 0.5000)
Rh (0.5000, 0.5000, 0.0000)
Rh (0.5000, 0.5000, 0.5000)
O (0.1333, 0.3084, 0.8250)
O (0.1750, 0.4834, 0.3084)
O (0.1750, 0.8667, 0.6916)
O (0.3084, 0.1750, 0.4834)
O (0.3084, 0.8250, 0.1333)
O (0.4834, 0.3084, 0.1750)
O (0.5166, 0.6916, 0.8250)
O (0.6916, 0.1750, 0.8667)
O (0.6916, 0.8250, 0.5166)
O (0.8250, 0.1333, 0.3084)
O (0.8250, 0.5166, 0.6916)
O (0.8667, 0.6916, 0.1750)

Principal peaks in the range 10 to 90 degrees two-theta, most intense first:
2theta, I_rel
33.14, 100
59.21, 46
47.57, 23
79.25, 17
69.56, 13
16.40, 5
88.63, 5
28.60, 4
37.19, 3
23.27, 2